No. 1
Theoretical X-ray diffraction stick pattern
Compound: LaPrY
Radiation: λ = 1.5418 Å (Cu Kα)
Structure: the GGA-PBE geometry in Alexandria
Lines closer than 0.1° are merged.

Cell and atoms:
```
LaPrY
1.0
2.612 -7.771 0.000
2.612 7.771 0.000
0.000 0.000 5.220
La Pr Y
2 2 2
direct
0.084 0.916 0.750
0.916 0.084 0.250
0.415 0.585 0.750
0.585 0.415 0.250
0.249 0.751 0.250
0.751 0.249 0.750
```

Principal peaks in the range 10° ≤ 2θ ≤ 90°, in order of falling intensity:
- 29.71 deg, I = 100
- 34.35 deg, I = 34
- 58.68 deg, I = 29
- 49.57 deg, I = 24
- 34.63 deg, I = 17
- 59.05 deg, I = 14

---

No. 2
Theoretical X-ray diffraction stick pattern
Compound: Mn2ZnPd9
Radiation: λ = 1.5418 Å (Cu Kα)
Structure: the GGA-PBE geometry in Alexandria
Lines closer than 0.1° are merged.

Cell and atoms:
```
Mn2ZnPd9
1.0
3.920 0.000 0.000
0.000 3.920 0.000
0.000 0.000 11.747
Mn Zn Pd
2 1 9
direct
0.000 0.000 0.168
0.000 0.000 0.832
0.000 0.000 0.500
0.000 0.500 0.000
0.000 0.500 0.333
0.000 0.500 0.667
0.500 0.000 0.000
0.500 0.000 0.333
0.500 0.000 0.667
0.500 0.500 0.166
0.500 0.500 0.500
0.500 0.500 0.834
```

Principal peaks in the range 10° ≤ 2θ ≤ 90°, in order of falling intensity:
- 39.85 deg, I = 100
- 46.34 deg, I = 48
- 81.46 deg, I = 35
- 67.62 deg, I = 30
- 85.92 deg, I = 10
- 22.69 deg, I = 5

---

No. 3
Theoretical X-ray diffraction stick pattern
Compound: TlH4Pt
Radiation: λ = 1.5418 Å (Cu Kα)
Structure: the GGA-PBE geometry in Alexandria
Lines closer than 0.1° are merged.

Cell and atoms:
```
TlH4Pt
1.0
3.366 -4.563 0.000
3.366 4.563 0.000
-1.204 0.000 5.249
Tl H Pt
2 8 2
direct
0.126 0.874 0.750
0.874 0.126 0.250
0.183 0.309 0.677
0.309 0.183 0.177
0.377 0.610 0.042
0.390 0.623 0.458
0.610 0.377 0.542
0.623 0.390 0.958
0.691 0.817 0.823
0.817 0.691 0.323
0.449 0.551 0.750
0.551 0.449 0.250
```

Principal peaks in the range 10° ≤ 2θ ≤ 90°, in order of falling intensity:
- 27.18 deg, I = 100
- 21.50 deg, I = 94
- 25.90 deg, I = 70
- 35.29 deg, I = 60
- 34.16 deg, I = 55
- 32.44 deg, I = 53

---

No. 4
Theoretical X-ray diffraction stick pattern
Compound: Nb2TcRu8
Radiation: λ = 1.5418 Å (Cu Kα)
Structure: the GGA-PBE geometry in Alexandria
Lines closer than 0.1° are merged.

Cell and atoms:
```
Nb2TcRu8
1.0
4.874 0.000 0.000
-0.695 5.073 0.000
-0.288 -2.552 6.718
Nb Tc Ru
2 1 8
direct
0.066 0.355 0.303
0.934 0.645 0.697
0.000 0.000 0.500
0.144 0.750 0.113
0.350 0.180 0.002
0.375 0.391 0.723
0.464 0.867 0.629
0.536 0.133 0.371
0.625 0.609 0.277
0.650 0.820 0.998
0.856 0.250 0.887
```

Principal peaks in the range 10° ≤ 2θ ≤ 90°, in order of falling intensity:
- 40.77 deg, I = 100
- 42.08 deg, I = 94
- 37.93 deg, I = 85
- 42.64 deg, I = 81
- 41.05 deg, I = 74
- 42.48 deg, I = 70

---

No. 5
Theoretical X-ray diffraction stick pattern
Compound: Pm4Dy5Tl
Radiation: λ = 1.5418 Å (Cu Kα)
Structure: the GGA-PBE geometry in Alexandria
Lines closer than 0.1° are merged.

Cell and atoms:
```
Pm4Dy5Tl
1.0
-5.367 5.367 2.923
5.367 -5.367 2.923
5.367 5.367 -2.923
Pm Dy Tl
4 5 1
direct
0.000 0.313 0.313
0.000 0.687 0.687
0.313 0.000 0.313
0.687 0.000 0.687
0.198 0.198 0.000
0.307 0.307 0.630
0.307 0.676 0.000
0.676 0.307 0.000
0.676 0.676 0.370
0.716 0.716 0.000
```

Principal peaks in the range 10° ≤ 2θ ≤ 90°, in order of falling intensity:
- 29.27 deg, I = 100
- 35.48 deg, I = 47
- 34.95 deg, I = 22
- 59.94 deg, I = 18
- 53.55 deg, I = 18
- 11.66 deg, I = 16

---

No. 6
Theoretical X-ray diffraction stick pattern
Compound: KLiCa2Cu
Radiation: λ = 1.5418 Å (Cu Kα)
Structure: the GGA-PBE geometry in Alexandria
Lines closer than 0.1° are merged.

Cell and atoms:
```
KLiCa2Cu
1.0
5.708 0.000 0.000
0.000 5.708 0.000
0.000 0.000 5.480
K Li Ca Cu
1 1 2 1
direct
0.000 0.000 0.000
0.500 0.500 0.000
0.000 0.500 0.500
0.500 0.000 0.500
0.500 0.500 0.500
```

Principal peaks in the range 10° ≤ 2θ ≤ 90°, in order of falling intensity:
- 22.49 deg, I = 100
- 31.34 deg, I = 77
- 16.17 deg, I = 58
- 45.91 deg, I = 49
- 38.92 deg, I = 46
- 32.68 deg, I = 34

---

No. 7
Theoretical X-ray diffraction stick pattern
Compound: Cs3VI6
Radiation: λ = 1.5418 Å (Cu Kα)
Structure: the GGA-PBE geometry in Alexandria
Lines closer than 0.1° are merged.

Cell and atoms:
```
Cs3VI6
1.0
6.680 3.857 6.135
-6.680 3.857 6.135
0.000 -7.714 6.135
Cs V I
6 2 12
direct
0.140 0.140 0.528
0.140 0.528 0.140
0.472 0.860 0.860
0.528 0.140 0.140
0.860 0.472 0.860
0.860 0.860 0.472
0.000 0.000 0.000
0.500 0.500 0.500
0.102 0.810 0.810
0.190 0.190 0.898
0.190 0.898 0.190
0.214 0.513 0.513
0.487 0.487 0.786
0.487 0.786 0.487
0.513 0.214 0.513
0.513 0.513 0.214
0.786 0.487 0.487
0.810 0.102 0.810
0.810 0.810 0.102
0.898 0.190 0.190
```

Principal peaks in the range 10° ≤ 2θ ≤ 90°, in order of falling intensity:
- 27.31 deg, I = 100
- 23.06 deg, I = 22
- 40.51 deg, I = 19
- 29.11 deg, I = 17
- 37.46 deg, I = 16
- 50.66 deg, I = 13

---

No. 8
Theoretical X-ray diffraction stick pattern
Compound: TlIn3Se4
Radiation: λ = 1.5418 Å (Cu Kα)
Structure: the GGA-PBE geometry in Alexandria
Lines closer than 0.1° are merged.

Cell and atoms:
```
TlIn3Se4
1.0
-4.107 4.107 3.457
4.107 -4.107 3.457
4.107 4.107 -3.457
Tl In Se
1 3 4
direct
0.000 0.000 0.000
0.000 0.500 0.500
0.500 0.000 0.500
0.500 0.500 0.000
0.077 0.923 0.500
0.423 0.577 0.500
0.577 0.077 0.154
0.923 0.423 0.846
```

Principal peaks in the range 10° ≤ 2θ ≤ 90°, in order of falling intensity:
- 33.89 deg, I = 100
- 30.79 deg, I = 51
- 27.50 deg, I = 40
- 21.64 deg, I = 39
- 51.78 deg, I = 25
- 49.64 deg, I = 24

---

No. 9
Theoretical X-ray diffraction stick pattern
Compound: Ce2Cu12Ni5
Radiation: λ = 1.5418 Å (Cu Kα)
Structure: the GGA-PBE geometry in Alexandria
Lines closer than 0.1° are merged.

Cell and atoms:
```
Ce2Cu12Ni5
1.0
4.267 2.463 4.108
-4.267 2.463 4.108
0.000 -4.927 4.108
Ce Cu Ni
2 12 5
direct
0.178 0.178 0.178
0.822 0.822 0.822
0.153 0.153 0.655
0.153 0.655 0.153
0.209 0.500 0.791
0.209 0.791 0.500
0.345 0.847 0.847
0.500 0.209 0.791
0.500 0.791 0.209
0.655 0.153 0.153
0.791 0.209 0.500
0.791 0.500 0.209
0.847 0.345 0.847
0.847 0.847 0.345
0.000 0.500 0.500
0.399 0.399 0.399
0.500 0.000 0.500
0.500 0.500 0.000
0.601 0.601 0.601
```

Principal peaks in the range 10° ≤ 2θ ≤ 90°, in order of falling intensity:
- 42.80 deg, I = 100
- 42.37 deg, I = 65
- 44.13 deg, I = 62
- 36.47 deg, I = 39
- 48.06 deg, I = 35
- 30.20 deg, I = 26

---

No. 10
Theoretical X-ray diffraction stick pattern
Compound: Nb3Mo6W2
Radiation: λ = 1.5418 Å (Cu Kα)
Structure: the GGA-PBE geometry in Alexandria
Lines closer than 0.1° are merged.

Cell and atoms:
```
Nb3Mo6W2
1.0
9.472 0.000 0.000
0.000 4.440 0.000
-6.172 0.000 9.132
Nb Mo W
6 12 4
direct
0.000 0.000 0.000
0.000 0.500 0.500
0.244 0.205 0.502
0.244 0.295 0.002
0.756 0.705 0.998
0.756 0.795 0.498
0.085 0.709 0.261
0.085 0.791 0.761
0.260 0.247 0.262
0.260 0.253 0.762
0.410 0.738 0.747
0.410 0.762 0.247
0.590 0.238 0.753
0.590 0.262 0.253
0.740 0.747 0.238
0.740 0.753 0.738
0.915 0.209 0.239
0.915 0.291 0.739
0.419 0.742 0.501
0.419 0.758 0.001
0.581 0.242 0.999
0.581 0.258 0.499
```

Principal peaks in the range 10° ≤ 2θ ≤ 90°, in order of falling intensity:
- 40.00 deg, I = 100
- 40.46 deg, I = 97
- 39.47 deg, I = 62
- 11.28 deg, I = 39
- 40.64 deg, I = 37
- 57.94 deg, I = 25

---

No. 11
Theoretical X-ray diffraction stick pattern
Compound: Nd3PaOs8
Radiation: λ = 1.5418 Å (Cu Kα)
Structure: the GGA-PBE geometry in Alexandria
Lines closer than 0.1° are merged.

Cell and atoms:
```
Nd3PaOs8
1.0
2.710 1.565 8.859
-2.710 1.565 8.859
0.000 -3.130 8.859
Nd Pa Os
3 1 8
direct
0.000 0.000 0.000
0.124 0.124 0.124
0.626 0.626 0.626
0.500 0.500 0.500
0.063 0.063 0.559
0.063 0.559 0.063
0.065 0.564 0.564
0.314 0.314 0.314
0.559 0.063 0.063
0.564 0.065 0.564
0.564 0.564 0.065
0.814 0.814 0.814
```

Principal peaks in the range 10° ≤ 2θ ≤ 90°, in order of falling intensity:
- 38.95 deg, I = 100
- 40.76 deg, I = 45
- 62.99 deg, I = 33
- 69.32 deg, I = 29
- 33.04 deg, I = 23
- 83.65 deg, I = 17

---

No. 12
Theoretical X-ray diffraction stick pattern
Compound: La4PmEr2Sc
Radiation: λ = 1.5418 Å (Cu Kα)
Structure: the GGA-PBE geometry in Alexandria
Lines closer than 0.1° are merged.

Cell and atoms:
```
La4PmEr2Sc
1.0
4.965 -3.655 0.000
4.965 3.655 0.000
-0.008 0.000 7.342
La Pm Er Sc
4 1 2 1
direct
0.000 0.500 0.248
0.000 0.500 0.752
0.500 0.000 0.248
0.500 0.000 0.752
0.000 0.000 0.000
0.000 0.000 0.500
0.500 0.500 0.500
0.500 0.500 0.000
```

Principal peaks in the range 10° ≤ 2θ ≤ 90°, in order of falling intensity:
- 30.28 deg, I = 100
- 30.37 deg, I = 99
- 34.63 deg, I = 70
- 50.95 deg, I = 47
- 36.18 deg, I = 31
- 59.34 deg, I = 29